Entry 1:
Theoretical powder diffraction line list
Compound: Rb2TmMg2Se4
Radiation: a wavelength of 1.5418 Å
Structure: a cell relaxed with PBE
Peak positions follow from Bragg's law for the DFT cell and can differ from measured ones.

Structure:
Lattice parameters (Å, degrees): 8.266 8.266 8.284 106.83 106.83 29.88
Fractional positions:
Rb (0.126, 0.126, 0.041)
Rb (0.874, 0.874, 0.959)
Tm (0.000, 0.000, 0.500)
Mg (0.329, 0.329, 0.523)
Mg (0.671, 0.671, 0.477)
Se (0.199, 0.199, 0.670)
Se (0.484, 0.484, 0.727)
Se (0.516, 0.516, 0.273)
Se (0.801, 0.801, 0.330)

Top 10 peaks for 15 to 90 degrees two-theta, in order of rising 2θ:
2θ (°), d (Å), Rel. int.
28.90, 3.089, 49
30.10, 2.969, 100
31.60, 2.831, 26
32.02, 2.795, 25
35.19, 2.550, 38
39.60, 2.276, 20
42.42, 2.131, 29
46.33, 1.960, 24
48.39, 1.881, 30
52.14, 1.754, 19

***

Entry 2:
Theoretical powder diffraction line list
Compound: PuCdS3
Radiation: a wavelength of 1.5418 Å
Structure: a cell relaxed with PBE
Peak positions follow from Bragg's law for the DFT cell and can differ from measured ones.

Structure:
Lattice parameters (Å, degrees): 8.584 8.584 6.868 90.00 90.00 151.78
Fractional positions:
Pu (0.192, 0.808, 0.750)
Pu (0.808, 0.192, 0.250)
Cd (0.448, 0.552, 0.750)
Cd (0.552, 0.448, 0.250)
S (0.031, 0.969, 0.750)
S (0.328, 0.672, 0.503)
S (0.328, 0.672, 0.997)
S (0.672, 0.328, 0.003)
S (0.672, 0.328, 0.497)
S (0.969, 0.031, 0.250)

Top 10 peaks for 15 to 90 degrees two-theta, in order of rising 2θ:
2θ (°), d (Å), Rel. int.
16.73, 5.298, 18
25.01, 3.560, 76
25.49, 3.494, 100
25.95, 3.434, 34
26.68, 3.341, 19
37.56, 2.395, 51
43.60, 2.076, 30
45.49, 1.994, 22
45.83, 1.980, 30
50.60, 1.804, 23

***

Entry 3:
Theoretical powder diffraction line list
Compound: FeHgAsBr2
Radiation: a wavelength of 1.5418 Å
Structure: a cell relaxed with PBE
Peak positions follow from Bragg's law for the DFT cell and can differ from measured ones.

Structure:
Lattice parameters (Å, degrees): 5.124 5.124 4.518 90.00 90.00 90.00
Fractional positions:
Fe (0.000, 0.000, 0.000)
Hg (0.500, 0.500, 0.500)
As (0.000, 0.000, 0.500)
Br (0.000, 0.500, 0.000)
Br (0.500, 0.000, 0.000)

Top 10 peaks for 15 to 90 degrees two-theta, in order of rising 2θ:
2θ (°), d (Å), Rel. int.
24.57, 3.623, 19
26.30, 3.389, 36
31.66, 2.826, 100
35.03, 2.562, 66
39.91, 2.259, 23
44.33, 2.044, 18
50.37, 1.811, 23
54.13, 1.694, 37
60.73, 1.525, 31
66.12, 1.413, 20

***

Entry 4:
Theoretical powder diffraction line list
Compound: LaMgGeBr
Radiation: a wavelength of 1.5418 Å
Structure: a cell relaxed with PBE
Peak positions follow from Bragg's law for the DFT cell and can differ from measured ones.

Structure:
Lattice parameters (Å, degrees): 14.361 14.361 14.361 17.94 17.94 17.94
Fractional positions:
La (0.083, 0.083, 0.083)
La (0.917, 0.917, 0.917)
Mg (0.311, 0.311, 0.311)
Mg (0.689, 0.689, 0.689)
Ge (0.378, 0.378, 0.378)
Ge (0.622, 0.622, 0.622)
Br (0.209, 0.209, 0.209)
Br (0.791, 0.791, 0.791)

Top 10 peaks for 15 to 90 degrees two-theta, in order of rising 2θ:
2θ (°), d (Å), Rel. int.
24.44, 3.642, 23
27.31, 3.266, 100
31.26, 2.861, 34
35.99, 2.496, 33
40.27, 2.239, 64
42.34, 2.135, 18
43.14, 2.097, 36
49.34, 1.847, 19
65.51, 1.425, 16
67.58, 1.386, 25

***

Entry 5:
Theoretical powder diffraction line list
Compound: Li3B8C8
Radiation: a wavelength of 1.5418 Å
Structure: a cell relaxed with PBE
Peak positions follow from Bragg's law for the DFT cell and can differ from measured ones.

Structure:
Lattice parameters (Å, degrees): 6.926 2.737 8.052 90.00 105.85 90.00
Fractional positions:
Li (0.000, 0.000, 0.000)
Li (0.334, 0.500, 0.275)
Li (0.666, 0.500, 0.725)
B (0.027, 0.000, 0.297)
B (0.255, 0.500, 0.548)
B (0.256, 0.500, 0.962)
B (0.421, 0.000, 0.855)
B (0.579, 0.000, 0.145)
B (0.744, 0.500, 0.038)
B (0.745, 0.500, 0.452)
B (0.973, 0.000, 0.703)
C (0.079, 0.500, 0.782)
C (0.214, 0.000, 0.454)
C (0.311, 0.500, 0.757)
C (0.341, 0.000, 0.052)
C (0.659, 0.000, 0.948)
C (0.689, 0.500, 0.243)
C (0.786, 0.000, 0.546)
C (0.921, 0.500, 0.218)

Top 10 peaks for 15 to 90 degrees two-theta, in order of rising 2θ:
2θ (°), d (Å), Rel. int.
23.20, 3.834, 63
26.76, 3.332, 62
30.23, 2.956, 100
38.54, 2.336, 93
40.35, 2.235, 39
40.62, 2.221, 34
42.76, 2.115, 28
47.62, 1.909, 42
53.63, 1.709, 34
68.58, 1.368, 40

***

Entry 6:
Theoretical powder diffraction line list
Compound: AlGaNiIr
Radiation: a wavelength of 1.5418 Å
Structure: a cell relaxed with PBE
Peak positions follow from Bragg's law for the DFT cell and can differ from measured ones.

Structure:
Lattice parameters (Å, degrees): 2.960 2.960 6.010 90.00 90.00 90.00
Fractional positions:
Al (0.000, 0.000, 0.000)
Ga (0.000, 0.000, 0.471)
Ni (0.500, 0.500, 0.238)
Ir (0.500, 0.500, 0.744)

Top 10 peaks for 15 to 90 degrees two-theta, in order of rising 2θ:
2θ (°), d (Å), Rel. int.
29.73, 3.005, 13
30.19, 2.960, 25
33.75, 2.656, 32
42.88, 2.109, 100
43.22, 2.093, 50
45.91, 1.977, 10
53.34, 1.718, 11
62.77, 1.480, 16
78.33, 1.221, 16
79.03, 1.212, 32